Structure and theoretical powder diffractogram of CeSmCo4 (a cell relaxed with PBE; Cu Kα, 1.54184 Å).

Atomic structure:
Lattice parameters (Å, degrees): 7.128 7.128 7.128 90.00 90.00 90.00
Space group F-43m (No. 216)
Unique sites:
Ce (0.000, 0.000, 0.000) (multiplicity 4)
Sm (0.250, 0.250, 0.250) (multiplicity 4)
Co (0.125, 0.125, 0.625) (multiplicity 16)

The 10 most intense peaks (10 to 90 degrees two-theta), in order of rising 2θ:
2θ (°)	I (rel.)	(hkl)
21.6	11	1 1 1
35.6	62	2 2 0
42.0	100	3 1 1
44.0	16	2 2 2
56.3	3	3 3 1
64.0	22	4 2 2
68.4	30	5 1 1
75.4	22	4 4 0
79.6	2	5 3 1
86.3	10	6 2 0